The following is a computed PXRD pattern of Ba3SrMo4O16. It was derived from a structure optimized by DFT (GGA+U), using copper Kα.

Top 6 peaks for 5 to 70 degrees two-theta, in order of rising 2θ:
hkl  2theta  I_rel
1 1 0  26.3  100.0
0 2 -2  27.9  16.3
-2 1 1  31.7  21.6
2 1 -3  42.7  28.8
1 3 -2  48.3  17.2
-3 1 4  53.3  22.0

Cell and atoms:
a b c (Å): 5.6382 7.5498 10.9764
angles (deg): 96.36 104.86 111.91
Space group P1 (No. 1)
One atom of each set of equivalent atoms:
Ba1 0.0000 0.0000 0.0000 [1 per cell]
Ba2 0.1247 0.8777 0.3772 [1 per cell]
Ba3 0.6230 0.3760 0.8723 [1 per cell]
Sr1 0.4989 0.5027 0.4987 [1 per cell]
Mo1 0.2445 0.7464 0.7447 [1 per cell]
Mo2 0.3779 0.6233 0.1295 [1 per cell]
Mo3 0.7548 0.2573 0.2547 [1 per cell]
Mo4 0.8701 0.1309 0.6203 [1 per cell]
O1 0.0269 0.7423 0.5911 [1 per cell]
O2 0.0463 0.6900 0.8517 [1 per cell]
O3 0.0472 0.4856 0.3340 [1 per cell]
O4 0.0681 0.1348 0.7789 [1 per cell]
O5 0.0901 0.1914 0.5229 [1 per cell]
O6 0.0964 0.3904 0.0495 [1 per cell]
O7 0.2447 0.8032 0.1509 [1 per cell]
O8 0.3895 0.5748 0.7181 [1 per cell]
O9 0.5192 0.9835 0.8216 [1 per cell]
O10 0.5387 0.2094 0.3546 [1 per cell]
O11 0.5559 0.2595 0.0978 [1 per cell]
O12 0.5762 0.6201 0.2866 [1 per cell]
O13 0.5909 0.6797 0.0287 [1 per cell]
O14 0.5983 0.8914 0.5431 [1 per cell]
O15 0.7283 0.3067 0.6390 [1 per cell]
O16 0.8719 0.0692 0.2288 [1 per cell]